Diffraction record for Na3NdHg4. The X-ray diffraction stick pattern is theoretical, not measured: it uses a crystal structure in Alexandria, relaxed with PBE and λ = 1.5418 Å (Cu Kα).
Intensities are scaled so that the largest is 100.

Peak list (10 most intense, 2θ = 15–90°, most intense first)
d (Å), I/Imax
2.650, 100.0
3.748, 39.0
1.530, 37.3
1.874, 18.1
1.676, 17.0
1.185, 16.2
2.164, 12.4
1.325, 11.5
1.250, 6.8
1.130, 3.9

```
Na3NdHg4
1.0
2.6516 1.5309 8.6475
-2.6516 1.5309 8.6475
0.0000 -3.0618 8.6475
Na Nd Hg
3 1 4
direct
0.0000 0.0000 0.0000 Na
0.2530 0.2530 0.2530 Na
0.7470 0.7470 0.7470 Na
0.5000 0.5000 0.5000 Nd
0.1274 0.1274 0.1274 Hg
0.3780 0.3780 0.3780 Hg
0.6220 0.6220 0.6220 Hg
0.8726 0.8726 0.8726 Hg
```